1.
# KBaSi2
Calculated powder X-ray diffraction pattern, Cu Kα. Input: a crystal structure in Alexandria, relaxed with GGA-PBE.
Kinematic intensities with the Lorentz-polarization factor, no thermal factor.

Principal peaks in the range 10° ≤ 2θ ≤ 90°, by intensity:
- d 6.316, 2θ 14.0, I 1000, (0 0 1)
- d 3.675, 2θ 24.2, I 561, (1 1 -1)
- d 2.834, 2θ 31.6, I 557, (3 1 -1)
- d 2.870, 2θ 31.2, I 504, (1 1 1)
- d 3.158, 2θ 28.3, I 408, (0 0 2)
- d 2.338, 2θ 38.5, I 395, (3 1 -3)
- d 4.286, 2θ 20.7, I 355, (2 0 -2)
- d 3.065, 2θ 29.1, I 330, (4 0 -2)
- d 4.521, 2θ 19.6, I 275, (2 0 0)
- d 2.788, 2θ 32.1, I 243, (3 1 -2)

Crystal structure
```
data_KBaSi2
_symmetry_space_group_name_H-M 'C 1 2/m 1'
_symmetry_Int_Tables_number 12
_cell_length_a 12.277
_cell_length_b 4.068
_cell_length_c 8.576
_cell_angle_alpha 90.00
_cell_angle_beta 132.56
_cell_angle_gamma 90.00
loop_
_symmetry_equiv_pos_as_xyz
'x,y,z'
'-x,-y,-z'
'-x,y,-z'
'x,-y,z'
'x+1/2,y+1/2,z'
'-x+1/2,-y+1/2,-z'
'-x+1/2,y+1/2,-z'
'x+1/2,-y+1/2,z'
loop_
_atom_site_label
_atom_site_fract_x
_atom_site_fract_y
_atom_site_fract_z
K1 0.000 0.000 0.000
Ba1 0.000 0.500 0.500
Si1 0.238 0.000 0.562
```


2.
# HgAu2F11
Calculated powder X-ray diffraction pattern, Cu Kα. Input: a crystal structure in Alexandria, relaxed with GGA-PBE.
Kinematic intensities with the Lorentz-polarization factor, no thermal factor.

Principal peaks in the range 10° ≤ 2θ ≤ 90°, by intensity:
- d 3.795, 2θ 23.4, I 1000, (2 1 1)
- d 4.052, 2θ 21.9, I 724, (1 1 2)
- d 3.430, 2θ 26.0, I 683, (0 2 2)
- d 1.985, 2θ 45.7, I 405, (3 3 2)
- d 2.881, 2θ 31.0, I 377, (3 1 0)
- d 1.933, 2θ 47.0, I 321, (3 1 4)
- d 2.644, 2θ 33.9, I 244, (2 1 3)
- d 2.026, 2θ 44.7, I 191, (2 2 4)
- d 1.865, 2θ 48.8, I 174, (1 4 3)
- d 5.212, 2θ 17.0, I 164, (0 0 2)

Crystal structure
```
data_HgAu2F11
_symmetry_space_group_name_H-M 'I b a m'
_symmetry_Int_Tables_number 72
_symmetry_space_group_name_Hall '-I 2 2c'
_cell_length_a 9.097
_cell_length_b 9.124
_cell_length_c 10.424
_cell_angle_alpha 90.00
_cell_angle_beta 90.00
_cell_angle_gamma 90.00
loop_
_atom_site_label
_atom_site_fract_x
_atom_site_fract_y
_atom_site_fract_z
Hg1 0.000 0.000 0.250
Au1 0.165 0.335 0.000
F1 0.000 0.500 0.000
F2 0.058 0.225 0.135
F3 0.183 0.317 0.500
F4 0.225 0.059 0.364
```


3.
# Na2Li2BiO6
Calculated powder X-ray diffraction pattern, Cu Kα. Input: a crystal structure in Alexandria, relaxed with GGA-PBE.
Kinematic intensities with the Lorentz-polarization factor, no thermal factor.

Principal peaks in the range 10° ≤ 2θ ≤ 90°, by intensity:
- d 3.569, 2θ 24.9, I 1000, (1 0 1)
- d 4.696, 2θ 18.9, I 565, (1 0 0)
- d 5.491, 2θ 16.1, I 354, (0 0 1)
- d 1.929, 2θ 47.1, I 343, (1 1 2)
- d 2.159, 2θ 41.8, I 265, (2 0 1)
- d 1.689, 2θ 54.3, I 248, (3 -1 1)
- d 2.711, 2θ 33.0, I 225, (1 1 0)
- d 2.431, 2θ 37.0, I 220, (1 1 1)
- d 2.370, 2θ 38.0, I 215, (1 0 2)
- d 1.705, 2θ 53.7, I 129, (1 0 3)

Crystal structure
```
data_Na2Li2BiO6
_symmetry_space_group_name_H-M 'P -3 1 m'
_symmetry_Int_Tables_number 162
_symmetry_space_group_name_Hall '-P 3 2'
_cell_length_a 5.4226
_cell_length_b 5.4226
_cell_length_c 5.4913
_cell_angle_alpha 90.00
_cell_angle_beta 90.00
_cell_angle_gamma 120.00
loop_
_atom_site_label
_atom_site_fract_x
_atom_site_fract_y
_atom_site_fract_z
Na1 0.3333 0.6667 0.0000
Li1 0.3333 0.6667 0.5000
Bi1 0.0000 0.0000 0.5000
O1 0.0000 0.3375 0.2957
```